HfAg2Se3: computed X-ray powder pattern (Cu Kα), based on a cell relaxed with GGA-PBE.

Atomic structure:
```
data_HfAg2Se3
_cell_length_a 6.863
_cell_length_b 12.068
_cell_length_c 7.094
_cell_angle_alpha 90.00
_cell_angle_beta 99.50
_cell_angle_gamma 90.00
_symmetry_space_group_name_H-M 'C 1 2 1'
_symmetry_Int_Tables_number 5
loop_
_symmetry_equiv_pos_as_xyz
'x,y,z'
'-x,y,-z'
'x+1/2,y+1/2,z'
'-x+1/2,y+1/2,-z'
loop_
_atom_site_label
_atom_site_type_symbol
_atom_site_fract_x
_atom_site_fract_y
_atom_site_fract_z
Hf1 Hf 0.000 0.000 0.000
Hf2 Hf 0.000 0.324 0.000
Ag1 Ag 0.000 0.161 0.500
Ag2 Ag 0.000 0.404 0.500
Ag3 Ag 0.000 0.662 0.000
Ag4 Ag 0.000 0.919 0.500
Se1 Se 0.189 0.162 0.218
Se2 Se 0.208 0.487 0.215
Se3 Se 0.208 0.837 0.214
```

Top 8 peaks for 10 to 80 degrees two-theta, sorted by position:
- hkl 0 0 1, 2θ = 12.65°, I 207
- hkl 1 1 0, 2θ = 15.01°, I 260
- hkl 1 3 1, 2θ = 29.77°, I 1000
- hkl 2 0 -2, 2θ = 33.67°, I 635
- hkl 1 3 2, 2θ = 38.10°, I 273
- hkl 2 0 2, 2θ = 40.01°, I 287
- hkl 1 3 -3, 2θ = 45.03°, I 456
- hkl 3 3 -1, 2θ = 46.08°, I 265